Theoretical X-ray diffraction stick pattern
Compound: Ag2BiIr
Radiation: Cu Kα, 1.54184 Å
Structure: the PBE geometry in Alexandria
Kinematic intensities with the Lorentz-polarization factor, no thermal factor.

Crystal structure
abc: 6.233 6.233 6.233
angles: 100.65 100.65 129.08
Fractional positions:
Ag: 0.099 0.625 0.974
Ag: 0.375 0.349 0.474
Ag: 0.651 0.125 0.026
Ag: 0.875 0.901 0.526
Bi: 0.250 0.750 0.500
Bi: 0.500 0.500 0.000
Ir: 0.000 0.000 0.000
Ir: 0.750 0.250 0.500

Principal peaks in the range 15 to 90 degrees two-theta, in order of falling intensity:
Position (°2θ)	intensity
31.80	100
37.16	73
49.70	63
45.59	36
69.72	22
22.34	19
74.77	18
60.22	17
78.67	16
75.56	14